For In2Sn2Au, a DFT-relaxed cell (PBE, Alexandria) gives the calculated powder XRD pattern in this record (Cu Ka).

Structural model:
a = 4.6599 Å, b = 4.6599 Å, c = 24.2313 Å
α = 90.00°, β = 90.00°, γ = 90.00°
Space group I4_1/amd (No. 141, origin choice 2)
Inequivalent atoms, fractional coordinates:
In 0.0000 0.2500 0.0496 [8 per cell]
Sn 0.0000 0.2500 0.1976 [8 per cell]
Au 0.0000 0.2500 0.3750 [4 per cell]

The 12 most intense peaks (2θ = 10–90°), by angle:
2θ/deg  d/Å  I_rel
19.4  4.576  20
22.0  4.036  14
26.5  3.359  12
35.2  2.553  100
38.6  2.330  46
44.9  2.019  14
46.5  1.952  6
55.8  1.648  17
60.7  1.526  18
67.7  1.384  30
74.3  1.277  11
82.9  1.165  6